Starting from a structure optimized by DFT (PBE), the powder diffractogram of PuTl2F6 was calculated for a wavelength of 1.5418 Å.

Largest 10 diffraction maxima, in order of rising 2θ, 2θ = 5–70°:
| d_spacing | 2θ (°) | I_rel |
| --- | --- | --- |
| 4.163 | 21.34 | 99 |
| 3.363 | 26.50 | 100 |
| 2.944 | 30.36 | 29 |
| 2.215 | 40.73 | 76 |
| 2.082 | 43.47 | 18 |
| 1.862 | 48.92 | 20 |
| 1.838 | 49.59 | 21 |
| 1.770 | 51.64 | 22 |
| 1.517 | 61.09 | 20 |
| 1.378 | 68.04 | 16 |

Cell lengths 5.8876, 5.8876, 12.2938 Å; angles 90.00, 90.00, 90.00 degrees
Atoms (fractional coordinates):
Pu 0.0000 0.0000 0.0000
Pu 0.5000 0.5000 0.5000
Tl 0.0000 0.0000 0.3368
Tl 0.0000 0.0000 0.6632
Tl 0.5000 0.5000 0.1632
Tl 0.5000 0.5000 0.8368
F 0.1766 0.1766 0.1291
F 0.1766 0.1766 0.8709
F 0.2392 0.2392 0.5000
F 0.2608 0.7392 0.0000
F 0.3234 0.6766 0.3709
F 0.3234 0.6766 0.6291
F 0.6766 0.3234 0.3709
F 0.6766 0.3234 0.6291
F 0.7392 0.2608 0.0000
F 0.7608 0.7608 0.5000
F 0.8234 0.8234 0.1291
F 0.8234 0.8234 0.8709